No. 1
# ZrCd3Pd2
Simulated X-ray powder pattern, λ = 1.5418 Å (Cu Kα). Input: a cell relaxed with PBE.
Intensities are scaled so that the largest is 100.

Crystal structure
Unit cell a=4.3753 b=12.3992 c=4.2165 alpha=90.00 beta=90.00 gamma=90.00
Sites, in units of the cell vectors:
Zr1 0.0000 0.0000 0.0000
Zr2 0.5000 0.5000 0.0000
Cd1 0.0000 0.1751 0.5000
Cd2 0.0000 0.5000 0.5000
Cd3 0.0000 0.8249 0.5000
Cd4 0.5000 0.0000 0.5000
Cd5 0.5000 0.3249 0.5000
Cd6 0.5000 0.6751 0.5000
Pd1 0.0000 0.3407 0.0000
Pd2 0.0000 0.6593 0.0000
Pd3 0.5000 0.1593 0.0000
Pd4 0.5000 0.8407 0.0000

The 10 most intense peaks (2θ from 5° to 70°), in order of rising 2θ:
2θ = 35.96°, I = 1.1, (0 4 1); 2θ = 36.73°, I = 100.0, (1 3 1); 2θ = 41.27°, I = 18.2, (2 0 0); 2θ = 42.90°, I = 16.3, (0 0 2); 2θ = 43.81°, I = 14.4, (0 6 0); 2θ = 55.87°, I = 0.6, (2 4 1); 2θ = 56.01°, I = 0.8, (1 7 0); 2θ = 61.04°, I = 11.0, (2 0 2); 2θ = 61.75°, I = 10.0, (2 6 0); 2θ = 62.98°, I = 9.4, (0 6 2)

No. 2
# SnNF2
Simulated X-ray powder pattern, λ = 1.5418 Å (Cu Kα). Input: a cell relaxed with PBE.
Intensities are scaled so that the largest is 100.

Crystal structure
Unit cell a=4.2383 b=4.1844 c=6.8209 alpha=90.00 beta=107.91 gamma=90.00
Sites, in units of the cell vectors:
Sn1 0.1014 0.2500 0.2069
Sn2 0.8986 0.7500 0.7931
N1 0.0676 0.7500 0.1365
N2 0.9324 0.2500 0.8635
F1 0.2521 0.2500 0.5072
F2 0.4124 0.7500 0.8216
F3 0.5876 0.2500 0.1784
F4 0.7479 0.7500 0.4928

The 10 most intense peaks (2θ from 5° to 70°), in order of rising 2θ:
2θ = 22.06°, I = 77.8, (1 0 0); 2θ = 25.32°, I = 100.0, (0 1 1); 2θ = 27.48°, I = 25.9, (0 0 2); 2θ = 30.81°, I = 47.7, (1 1 -1); 2θ = 36.63°, I = 19.0, (1 1 1); 2θ = 41.75°, I = 16.4, (0 0 3); 2θ = 42.67°, I = 24.6, (2 0 -1); 2θ = 43.24°, I = 23.6, (0 2 0); 2θ = 49.06°, I = 19.0, (1 2 0); 2θ = 50.27°, I = 32.1, (2 1 -2)

No. 3
# NaICl3
Simulated X-ray powder pattern, λ = 1.5418 Å (Cu Kα). Input: a cell relaxed with PBE.
Intensities are scaled so that the largest is 100.

Crystal structure
Unit cell a=5.5406 b=7.3561 c=9.0870 alpha=110.57 beta=91.73 gamma=104.96
Sites, in units of the cell vectors:
Na1 0.1928 0.2543 0.4344
Na2 0.8072 0.7457 0.5656
I1 0.1031 0.5615 0.1773
I2 0.8969 0.4385 0.8227
Cl1 0.1109 0.1574 0.7252
Cl2 0.2922 0.6832 0.5072
Cl3 0.3106 0.2867 0.1237
Cl4 0.6894 0.7133 0.8763
Cl5 0.7078 0.3168 0.4928
Cl6 0.8891 0.8426 0.2748

The 10 most intense peaks (2θ from 5° to 70°), in order of rising 2θ:
2θ = 13.42°, I = 100.0, (0 1 0); 2θ = 13.62°, I = 43.6, (0 1 -1); 2θ = 16.71°, I = 55.0, (1 0 0); 2θ = 18.53°, I = 38.5, (1 0 -1); 2θ = 23.48°, I = 84.2, (1 1 -1); 2θ = 27.43°, I = 31.0, (1 -2 0); 2θ = 28.76°, I = 36.3, (1 0 2); 2θ = 29.55°, I = 57.8, (0 1 -3); 2θ = 31.84°, I = 26.5, (0 0 3); 2θ = 36.88°, I = 23.0, (2 -2 0)